Computed powder XRD pattern of Tl3Bi5Au3 for Cu Kα, from a crystal structure in Alexandria, relaxed with GGA-PBE.
Intensities are scaled so that the largest is 100.

Main lines, low angle first (10 to 90 degrees two-theta):
hkl	d [Å]	I/Imax
2 1 0	3.395	58
1 1 1	2.921	100
2 2 0	2.593	32
3 1 0	2.491	41
2 1 1	2.449	53
2 2 1	2.091	27
3 1 1	2.037	45
4 1 1	1.714	29

Atomic structure:
a b c (Å): 10.3723 10.3723 3.5359
angles (deg): 90.00 90.00 120.00
Space group P-62m (No. 189)
One atom of each set of equivalent atoms:
Tl 0.0000 0.3178 0.0000
Bi 0.0000 0.8079 0.5000
Bi 0.3333 0.6667 0.5000
Au 0.0000 0.5390 0.5000

=====

Computed powder XRD pattern of Tl3Bi4Au2 for Cu Kα, from a crystal structure in Alexandria, relaxed with GGA-PBE.
Intensities are scaled so that the largest is 100.

Main lines, low angle first (10 to 90 degrees two-theta):
hkl	d [Å]	I/Imax
1 1 -1	3.636	41
1 0 -2	3.261	25
0 1 2	3.134	35
1 -2 0	3.102	30
1 -1 2	2.927	100
0 3 -1	2.633	69
1 0 -3	2.499	42
1 2 1	2.266	46

Atomic structure:
a b c (Å): 4.455 7.969 8.733
angles (deg): 109.14 96.81 97.14
Space group P-1 (No. 2)
One atom of each set of equivalent atoms:
Tl 0.000 0.000 0.000
Tl 0.158 0.606 0.715
Bi 0.331 0.170 0.444
Bi 0.470 0.295 0.892
Au 0.102 0.775 0.332

=====

Computed powder XRD pattern of Tl3BiAu for Cu Kα, from a crystal structure in Alexandria, relaxed with GGA-PBE.
Intensities are scaled so that the largest is 100.

Main lines, low angle first (10 to 90 degrees two-theta):
hkl	d [Å]	I/Imax
2 2 1	3.025	16
3 0 1	2.925	100
3 1 1	2.836	40
3 3 0	2.716	33
4 2 0	2.576	15
0 0 2	2.258	42
4 2 1	2.238	19
3 3 2	1.736	18

Atomic structure:
a b c (Å): 11.522 11.522 4.515
angles (deg): 90.00 90.00 90.00
Space group P4_2/mnm (No. 136)
One atom of each set of equivalent atoms:
Tl 0.002 0.338 0.000
Tl 0.117 0.883 0.500
Bi 0.196 0.196 0.500
Au 0.085 0.085 0.000

=====

Computed powder XRD pattern of Tl3BiAu6 for Cu Kα, from a crystal structure in Alexandria, relaxed with GGA-PBE.
Intensities are scaled so that the largest is 100.

Main lines, low angle first (10 to 90 degrees two-theta):
hkl	d [Å]	I/Imax
0 4 2	2.795	31
2 4 0	2.735	33
2 0 2	2.706	33
2 4 1	2.581	100
2 2 2	2.563	96
0 6 1	2.523	62
0 2 3	2.478	57
3 1 1	2.353	27

Atomic structure:
a b c (Å): 7.498 15.992 7.820
angles (deg): 90.00 90.00 90.00
Space group Cmc2_1 (No. 36)
One atom of each set of equivalent atoms:
Tl 0.000 0.044 0.000
Tl 0.244 0.382 0.835
Bi 0.000 0.272 0.129
Au 0.000 0.193 0.721
Au 0.000 0.458 0.526
Au 0.189 0.301 0.476
Au 0.213 0.432 0.216

=====

Computed powder XRD pattern of Tl3Bi4Au4 for Cu Kα, from a crystal structure in Alexandria, relaxed with GGA-PBE.
Intensities are scaled so that the largest is 100.

Main lines, low angle first (10 to 90 degrees two-theta):
hkl	d [Å]	I/Imax
0 1 5	3.136	22
1 2 1	2.916	100
0 0 6	2.861	12
1 2 3	2.630	12
2 0 0	2.312	26
0 2 6	2.297	15
1 2 5	2.242	18
3 2 1	1.426	12

Atomic structure:
a b c (Å): 4.625 7.709 17.163
angles (deg): 90.00 90.00 90.00
Space group Immm (No. 71)
One atom of each set of equivalent atoms:
Tl 0.000 0.000 0.000
Tl 0.000 0.500 0.096
Bi 0.000 0.280 0.332
Au 0.000 0.000 0.204
Au 0.000 0.209 0.500

=====

Computed powder XRD pattern of Tl5BiAu for Cu Kα, from a crystal structure in Alexandria, relaxed with GGA-PBE.
Intensities are scaled so that the largest is 100.

Main lines, low angle first (10 to 90 degrees two-theta):
hkl	d [Å]	I/Imax
1 0 1	6.838	10
0 0 4	2.917	21
1 2 3	2.794	25
2 2 2	2.737	100
0 4 0	2.284	15
4 0 0	2.110	9
0 4 4	1.797	14
2 6 2	1.391	8

Atomic structure:
a b c (Å): 8.439 9.136 11.667
angles (deg): 90.00 90.00 90.00
Space group Imma (No. 74)
One atom of each set of equivalent atoms:
Tl 0.000 0.250 0.221
Tl 0.198 0.250 0.491
Tl 0.250 0.038 0.750
Bi 0.000 0.000 0.000
Au 0.000 0.250 0.822